1.
Theoretical powder diffractogram
Compound: RbSeBr3
Radiation: Cu Kα, 1.54184 Å
Structure: a crystal structure in Alexandria, relaxed with PBE

Crystal structure
```
RbSeBr3
1.0
6.6481 -6.7281 0.0000
6.6481 6.7281 0.0000
-5.0079 0.0000 8.4609
Rb Se Br
4 4 12
direct
0.0384 0.9616 0.7500
0.3502 0.6498 0.2500
0.6498 0.3502 0.7500
0.9616 0.0384 0.2500
0.1726 0.5243 0.7379
0.4757 0.8274 0.7621
0.5243 0.1726 0.2379
0.8274 0.4757 0.2621
0.0326 0.6865 0.3786
0.0423 0.6951 0.9445
0.2898 0.4017 0.5399
0.3049 0.9577 0.5555
0.3135 0.9674 0.1214
0.4017 0.2898 0.0399
0.5983 0.7102 0.9601
0.6865 0.0326 0.8786
0.6951 0.0423 0.4445
0.7102 0.5983 0.4601
0.9577 0.3049 0.0555
0.9674 0.3135 0.6214
```

Most intense lines, 2θ from 10° to 90°, most intense first:
2theta, d (Å), I (rel.)
27.1, 3.294, 1000
22.9, 3.880, 468
26.4, 3.378, 361
30.5, 2.934, 282
30.8, 2.906, 277
30.3, 2.946, 255

=====

2.
Theoretical powder diffractogram
Compound: Pm3Al4In2
Radiation: Cu Kα, 1.54184 Å
Structure: a crystal structure in Alexandria, relaxed with PBE

Crystal structure
```
Pm3Al4In2
1.0
5.5264 -2.3507 0.0000
5.5264 2.3507 0.0000
-3.5033 0.0000 8.2278
Pm Al In
3 4 2
direct
0.0000 0.0000 0.0000
0.3366 0.3366 0.3305
0.6634 0.6634 0.6695
0.0506 0.0506 0.3889
0.2671 0.2671 0.9423
0.7329 0.7329 0.0577
0.9494 0.9494 0.6111
0.3818 0.3818 0.7185
0.6182 0.6182 0.2815
```

Most intense lines, 2θ from 10° to 90°, most intense first:
2theta, d (Å), I (rel.)
32.6, 2.748, 1000
38.3, 2.351, 636
21.8, 4.072, 317
32.7, 2.743, 209
51.2, 1.784, 171
51.1, 1.788, 163

=====

3.
Theoretical powder diffractogram
Compound: Ag4Se3
Radiation: Cu Kα, 1.54184 Å
Structure: a crystal structure in Alexandria, relaxed with PBE

Crystal structure
```
Ag4Se3
1.0
-1.8608 1.8608 11.4648
1.8608 -1.8608 11.4648
1.8608 1.8608 -11.4648
Ag Se
4 3
direct
0.0598 0.0598 0.0000
0.3109 0.3109 0.0000
0.6891 0.6891 0.0000
0.9402 0.9402 0.0000
0.1740 0.1740 0.0000
0.5000 0.5000 0.0000
0.8260 0.8260 0.0000
```

Most intense lines, 2θ from 10° to 90°, most intense first:
2theta, d (Å), I (rel.)
34.1, 2.632, 1000
46.9, 1.938, 402
49.0, 1.861, 347
30.9, 2.890, 344
31.2, 2.866, 323
43.0, 2.102, 308

=====

Please write out number 1 again, unchanged.
Theoretical powder diffractogram
Compound: RbSeBr3
Radiation: Cu Kα, 1.54184 Å
Structure: a crystal structure in Alexandria, relaxed with PBE

Crystal structure
```
RbSeBr3
1.0
6.6481 -6.7281 0.0000
6.6481 6.7281 0.0000
-5.0079 0.0000 8.4609
Rb Se Br
4 4 12
direct
0.0384 0.9616 0.7500
0.3502 0.6498 0.2500
0.6498 0.3502 0.7500
0.9616 0.0384 0.2500
0.1726 0.5243 0.7379
0.4757 0.8274 0.7621
0.5243 0.1726 0.2379
0.8274 0.4757 0.2621
0.0326 0.6865 0.3786
0.0423 0.6951 0.9445
0.2898 0.4017 0.5399
0.3049 0.9577 0.5555
0.3135 0.9674 0.1214
0.4017 0.2898 0.0399
0.5983 0.7102 0.9601
0.6865 0.0326 0.8786
0.6951 0.0423 0.4445
0.7102 0.5983 0.4601
0.9577 0.3049 0.0555
0.9674 0.3135 0.6214
```

Most intense lines, 2θ from 10° to 90°, most intense first:
2theta, d (Å), I (rel.)
27.1, 3.294, 1000
22.9, 3.880, 468
26.4, 3.378, 361
30.5, 2.934, 282
30.8, 2.906, 277
30.3, 2.946, 255